For Tb8Cd2Ag, a structure optimized by DFT (PBE) gives the simulated powder diffractogram in this record (Cu Kα (λ = 1.5418 Å)).

Most intense lines, 15° ≤ 2θ ≤ 90°, in order of rising 2θ:
two_theta	intensity
28.64	405
30.68	1000
30.95	506
31.09	230
31.67	205
33.21	685
34.04	698
35.85	303
58.84	178
66.15	196

Cell and atoms:
```
11
Lattice="9.008 -2.634 0.000 9.008 2.634 0.000 -1.989 0.000 6.730" Properties=species:S:1:pos:R:3 pbc="T T T"
Tb -0.129 0.000 1.808
Tb 1.958 0.000 5.355
Tb 5.039 0.000 3.632
Tb 7.264 0.000 0.311
Tb 8.762 0.000 6.420
Tb 10.988 0.000 3.099
Tb 14.069 0.000 1.375
Tb 16.155 0.000 4.923
Cd 2.937 0.000 1.465
Cd 13.089 0.000 5.265
Ag 8.013 0.000 3.365
```